No. 1
# Ca3Tl4O9
Simulated X-ray powder pattern, CuKα. Input: DFT lattice parameters and positions (GGA-PBE).

Peak list (12 most intense, 5° ≤ 2θ ≤ 70°, in order of rising 2θ)
Position (°2θ)	Rel. int.
7.28	26
14.59	100
19.22	27
27.51	45
30.16	70
30.34	98
31.70	51
35.69	52
37.94	31
39.53	26
63.13	26
64.01	26

Structure:
```
data_Ca3Tl4O9
_cell_length_a 11.2896
_cell_length_b 3.3924
_cell_length_c 12.4502
_cell_angle_alpha 90.00
_cell_angle_beta 102.77
_cell_angle_gamma 90.00
_symmetry_space_group_name_H-M 'C 1 m 1'
_symmetry_Int_Tables_number 8
loop_
_symmetry_equiv_pos_as_xyz
'x,y,z'
'x,-y,z'
'x+1/2,y+1/2,z'
'x+1/2,-y+1/2,z'
loop_
_atom_site_label
_atom_site_type_symbol
_atom_site_fract_x
_atom_site_fract_y
_atom_site_fract_z
Ca1 Ca 0.0000 0.0000 0.0000
Ca2 Ca 0.0975 0.0000 0.5798
Ca3 Ca 0.2893 0.5000 0.1613
Tl1 Tl 0.0504 0.5000 0.2866
Tl2 Tl 0.1991 0.5000 0.8540
Tl3 Tl 0.3116 0.0000 0.4165
Tl4 Tl 0.3981 0.0000 0.7282
O1 O 0.0458 0.0000 0.7831
O2 O 0.1416 0.5000 0.0056
O3 O 0.1741 0.5000 0.4510
O4 O 0.1836 0.0000 0.2436
O5 O 0.2395 0.5000 0.6878
O6 O 0.3558 0.0000 0.8932
O7 O 0.4212 0.5000 0.3486
O8 O 0.4261 0.0000 0.1284
O9 O 0.4517 0.0000 0.5697
```

***

No. 2
# Ca2Tl2O5
Simulated X-ray powder pattern, CuKα. Input: DFT lattice parameters and positions (GGA-PBE).

Peak list (12 most intense, 5° ≤ 2θ ≤ 70°, in order of rising 2θ)
Position (°2θ)	Rel. int.
12.94	100
20.35	48
28.15	37
30.39	39
30.52	87
31.57	32
33.81	25
36.13	36
37.94	42
48.73	22
55.61	34
63.22	23

Structure:
```
data_Ca2Tl2O5
_cell_length_a 3.4018
_cell_length_b 11.3342
_cell_length_c 13.6847
_cell_angle_alpha 90.00
_cell_angle_beta 90.00
_cell_angle_gamma 90.00
_symmetry_space_group_name_H-M 'C m c 21'
_symmetry_Int_Tables_number 36
loop_
_symmetry_equiv_pos_as_xyz
'x,y,z'
'-x,-y,z+1/2'
'-x,y,z'
'x,-y,z+1/2'
'x+1/2,y+1/2,z'
'-x+1/2,-y+1/2,z+1/2'
'-x+1/2,y+1/2,z'
'x+1/2,-y+1/2,z+1/2'
loop_
_atom_site_label
_atom_site_type_symbol
_atom_site_fract_x
_atom_site_fract_y
_atom_site_fract_z
Ca1 Ca 0.0000 0.0294 0.0000
Ca2 Ca 0.0000 0.2227 0.6458
Tl1 Tl 0.0000 0.2341 0.3720
Tl2 Tl 0.0000 0.4945 0.7547
O1 O 0.0000 0.1333 0.8112
O2 O 0.0000 0.1535 0.2192
O3 O 0.0000 0.3306 0.5067
O4 O 0.0000 0.4139 0.9004
O5 O 0.0000 0.4223 0.1122
```

***

No. 3
# Ca4Tl3O9
Simulated X-ray powder pattern, CuKα. Input: DFT lattice parameters and positions (GGA-PBE).

Peak list (12 most intense, 5° ≤ 2θ ≤ 70°, in order of rising 2θ)
Position (°2θ)	Rel. int.
7.29	42
14.62	100
18.99	40
19.37	27
27.49	42
29.99	58
30.45	63
30.57	53
31.71	39
35.70	41
37.82	55
54.26	30

Structure:
```
data_Ca4Tl3O9
_cell_length_a 11.2913
_cell_length_b 3.3940
_cell_length_c 12.3889
_cell_angle_alpha 90.00
_cell_angle_beta 101.98
_cell_angle_gamma 90.00
_symmetry_space_group_name_H-M 'C 1 2/m 1'
_symmetry_Int_Tables_number 12
loop_
_symmetry_equiv_pos_as_xyz
'x,y,z'
'-x,-y,-z'
'-x,y,-z'
'x,-y,z'
'x+1/2,y+1/2,z'
'-x+1/2,-y+1/2,-z'
'-x+1/2,y+1/2,-z'
'x+1/2,-y+1/2,z'
loop_
_atom_site_label
_atom_site_type_symbol
_atom_site_fract_x
_atom_site_fract_y
_atom_site_fract_z
Ca1 Ca 0.0472 0.0000 0.2857
Ca2 Ca 0.2380 0.5000 0.8724
Tl1 Tl 0.0000 0.5000 0.0000
Tl2 Tl 0.1490 0.5000 0.5632
O1 O 0.0000 0.0000 0.5000
O2 O 0.0931 0.5000 0.7154
O3 O 0.1241 0.5000 0.1642
O4 O 0.1258 0.0000 0.9474
O5 O 0.1931 0.5000 0.3986
```

***

> What is the formula in the second record?

Ca2Tl2O5